For SrTl2P4O12, the PBE geometry in the Materials Project gives the theoretical powder diffractogram in this record (Cu Kα X-rays).
Neutral-atom scattering factors, no anomalous dispersion.

Principal peaks in the range 10° ≤ 2θ ≤ 90°, by angle:
2θ 16.4, 5.420 Å, I 100
2θ 27.4, 3.255 Å, I 74
2θ 28.3, 3.157 Å, I 99
2θ 28.9, 3.084 Å, I 69
2θ 33.1, 2.710 Å, I 49
2θ 36.9, 2.437 Å, I 81

Structural model:
```
data_SrTl2P4O12
_cell_length_a 7.6648
_cell_length_b 7.6648
_cell_length_c 10.3943
_cell_angle_alpha 90.00
_cell_angle_beta 90.00
_cell_angle_gamma 90.00
_symmetry_space_group_name_H-M 'I -4'
_symmetry_Int_Tables_number 82
loop_
_symmetry_equiv_pos_as_xyz
'x,y,z'
'y,-x,-z'
'-x,-y,z'
'-y,x,-z'
'x+1/2,y+1/2,z+1/2'
'y+1/2,-x+1/2,-z+1/2'
'-x+1/2,-y+1/2,z+1/2'
'-y+1/2,x+1/2,-z+1/2'
loop_
_atom_site_label
_atom_site_fract_x
_atom_site_fract_y
_atom_site_fract_z
Sr1 0.0000 0.0000 0.0000
Tl1 0.0000 0.5000 0.5789
P1 0.1543 0.2836 0.2821
O1 0.0530 0.6927 0.3142
O2 0.1211 0.8169 0.7947
O3 0.1889 0.7450 0.0907
```


For Ba2LaBiO6, the PBE geometry in the Materials Project gives the theoretical powder diffractogram in this record (Cu Kα X-rays).
Neutral-atom scattering factors, no anomalous dispersion.

Principal peaks in the range 10° ≤ 2θ ≤ 90°, by angle:
2θ 28.2, 3.161 Å, I 100
2θ 40.4, 2.235 Å, I 29
2θ 50.0, 1.825 Å, I 42
2θ 58.4, 1.580 Å, I 19
2θ 66.1, 1.413 Å, I 19
2θ 80.4, 1.195 Å, I 22

Structural model:
```
data_Ba2LaBiO6
_cell_length_a 8.9393
_cell_length_b 8.9393
_cell_length_c 8.9393
_cell_angle_alpha 90.00
_cell_angle_beta 90.00
_cell_angle_gamma 90.00
_symmetry_space_group_name_H-M 'F m -3 m'
_symmetry_Int_Tables_number 225
_symmetry_space_group_name_Hall '-F 4 2 3'
loop_
_atom_site_label
_atom_site_fract_x
_atom_site_fract_y
_atom_site_fract_z
Ba1 0.2500 0.2500 0.2500
La1 0.0000 0.0000 0.0000
Bi1 0.0000 0.0000 0.5000
O1 0.0000 0.0000 0.2613
```